Record 1
Structure and computed PXRD pattern of CrOF3 (a structure optimized by DFT (PBE+U); λ = 1.5418 Å (Cu Kα)).
No peak broadening, texture or thermal motion is included.

The 8 most intense peaks (10 to 90 degrees two-theta), low angle first:
2θ = 19.3°, intensity 66
2θ = 23.6°, intensity 45
2θ = 25.6°, intensity 44
2θ = 25.7°, intensity 100
2θ = 35.1°, intensity 26
2θ = 39.1°, intensity 32
2θ = 48.5°, intensity 38
2θ = 55.8°, intensity 20

```
data_CrOF3
_chemical_formula_sum 'Cr4 O4 F12'
_cell_length_a 5.3319
_cell_length_b 5.3319
_cell_length_c 9.1192
_cell_angle_alpha 90.00
_cell_angle_beta 90.00
_cell_angle_gamma 90.00
_space_group_name_H-M_alt 'P 1'
_space_group_IT_number 1
_space_group_name_Hall 'P 1'
loop_
_atom_site_label
_atom_site_fract_x
_atom_site_fract_y
_atom_site_fract_z
Cr1 0.0708 0.6198 0.0000
Cr2 0.3802 0.0708 0.2500
Cr3 0.6198 0.9292 0.7500
Cr4 0.9292 0.3802 0.5000
O1 0.1820 0.4149 0.5846
O2 0.4149 0.8181 0.3346
O3 0.5851 0.1820 0.8346
O4 0.8181 0.5851 0.0846
F1 0.0633 0.1787 0.3373
F2 0.0804 0.3654 0.8762
F3 0.1787 0.9367 0.0873
F4 0.2893 0.4563 0.1204
F5 0.3654 0.9196 0.6262
F6 0.4563 0.7107 0.8704
F7 0.5437 0.2893 0.3704
F8 0.6346 0.0804 0.1262
F9 0.7107 0.5437 0.6204
F10 0.8213 0.0633 0.5873
F11 0.9196 0.6346 0.3762
F12 0.9367 0.8213 0.8373
```

Record 2
Structure and computed PXRD pattern of ZnFe2O4 (a structure optimized by DFT (PBE+U); λ = 1.5418 Å (Cu Kα)).
No peak broadening, texture or thermal motion is included.

The 8 most intense peaks (10 to 90 degrees two-theta), low angle first:
2θ = 32.4°, intensity 100
2θ = 32.9°, intensity 27
2θ = 36.5°, intensity 22
2θ = 36.9°, intensity 19
2θ = 42.4°, intensity 45
2θ = 45.3°, intensity 36
2θ = 56.1°, intensity 19
2θ = 63.7°, intensity 26

```
data_ZnFe2O4
_chemical_formula_sum 'Zn4 Fe8 O16'
_cell_length_a 2.9500
_cell_length_b 9.7364
_cell_length_c 10.0699
_cell_angle_alpha 90.00
_cell_angle_beta 90.00
_cell_angle_gamma 90.00
_space_group_name_H-M_alt 'P 1'
_space_group_IT_number 1
_space_group_name_Hall 'P 1'
loop_
_atom_site_label
_atom_site_fract_x
_atom_site_fract_y
_atom_site_fract_z
Zn1 0.1990 0.1384 0.2500
Zn2 0.1990 0.3616 0.7500
Zn3 0.8010 0.6384 0.2500
Zn4 0.8010 0.8616 0.7500
Fe1 0.2638 0.6184 0.5742
Fe2 0.2638 0.6184 0.9258
Fe3 0.2638 0.8816 0.0742
Fe4 0.2638 0.8816 0.4258
Fe5 0.7362 0.1184 0.5742
Fe6 0.7362 0.1184 0.9258
Fe7 0.7362 0.3816 0.0742
Fe8 0.7362 0.3816 0.4258
O1 0.2351 0.2500 0.0000
O2 0.2351 0.2500 0.5000
O3 0.2392 0.5196 0.1132
O4 0.2392 0.5196 0.3868
O5 0.2392 0.9804 0.6132
O6 0.2392 0.9804 0.8868
O7 0.2938 0.7148 0.7500
O8 0.2938 0.7852 0.2500
O9 0.7062 0.2148 0.7500
O10 0.7062 0.2852 0.2500
O11 0.7608 0.0196 0.1132
O12 0.7608 0.0196 0.3868
O13 0.7608 0.4804 0.6132
O14 0.7608 0.4804 0.8868
O15 0.7649 0.7500 0.0000
O16 0.7649 0.7500 0.5000
```

Record 3
Structure and computed PXRD pattern of MgMnO2 (a structure optimized by DFT (PBE+U); λ = 1.5418 Å (Cu Kα)).
No peak broadening, texture or thermal motion is included.

The 8 most intense peaks (10 to 90 degrees two-theta), low angle first:
2θ = 23.6°, intensity 33
2θ = 33.5°, intensity 19
2θ = 33.7°, intensity 34
2θ = 34.0°, intensity 81
2θ = 48.3°, intensity 49
2θ = 48.5°, intensity 100
2θ = 60.4°, intensity 31
2θ = 81.3°, intensity 18

```
data_MgMnO2
_chemical_formula_sum 'Mg2 Mn2 O4'
_cell_length_a 5.3199
_cell_length_b 5.3486
_cell_length_c 3.0384
_cell_angle_alpha 90.00
_cell_angle_beta 90.00
_cell_angle_gamma 90.00
_space_group_name_H-M_alt 'P 1'
_space_group_IT_number 1
_space_group_name_Hall 'P 1'
loop_
_atom_site_label
_atom_site_fract_x
_atom_site_fract_y
_atom_site_fract_z
Mg1 0.0000 0.0000 0.0000
Mg2 0.5000 0.5000 0.5000
Mn1 0.0000 0.5000 0.0000
Mn2 0.5000 0.0000 0.5000
O1 0.1637 0.2350 0.5000
O2 0.3363 0.7350 0.0000
O3 0.6637 0.2650 0.0000
O4 0.8363 0.7650 0.5000
```

Record 4
Structure and computed PXRD pattern of V5CoP6O24 (a structure optimized by DFT (PBE+U); λ = 1.5418 Å (Cu Kα)).
No peak broadening, texture or thermal motion is included.

The 8 most intense peaks (10 to 90 degrees two-theta), low angle first:
2θ = 20.5°, intensity 67
2θ = 24.3°, intensity 100
2θ = 33.2°, intensity 60
2θ = 35.9°, intensity 32
2θ = 47.5°, intensity 25
2θ = 49.7°, intensity 23
2θ = 56.2°, intensity 20
2θ = 62.9°, intensity 17

```
data_V5CoP6O24
_chemical_formula_sum 'V5 Co1 P6 O24'
_cell_length_a 8.5324
_cell_length_b 8.5324
_cell_length_c 8.5324
_cell_angle_alpha 60.95
_cell_angle_beta 60.95
_cell_angle_gamma 60.95
_space_group_name_H-M_alt 'P 1'
_space_group_IT_number 1
_space_group_name_Hall 'P 1'
loop_
_atom_site_label
_atom_site_fract_x
_atom_site_fract_y
_atom_site_fract_z
V1 0.0000 0.0000 0.0000
V2 0.1445 0.1445 0.1445
V3 0.2897 0.2897 0.2897
V4 0.6424 0.6424 0.6424
V5 0.7872 0.7872 0.7872
Co1 0.4991 0.4991 0.4991
P1 0.1001 0.3953 0.6895
P2 0.1901 0.8958 0.6014
P3 0.3953 0.6895 0.1001
P4 0.6014 0.1901 0.8958
P5 0.6895 0.1001 0.3953
P6 0.8958 0.6014 0.1901
O1 0.0338 0.8319 0.6386
O2 0.0593 0.4030 0.2069
O3 0.0775 0.2315 0.8879
O4 0.1380 0.9722 0.7584
O5 0.1478 0.3248 0.5290
O6 0.2069 0.0593 0.4030
O7 0.2315 0.8879 0.0775
O8 0.2496 0.4606 0.6599
O9 0.3248 0.5290 0.1478
O10 0.3871 0.7422 0.5938
O11 0.4030 0.2069 0.0593
O12 0.4606 0.6599 0.2496
O13 0.5290 0.1478 0.3248
O14 0.5499 0.6997 0.8990
O15 0.5938 0.3871 0.7422
O16 0.6386 0.0338 0.8319
O17 0.6599 0.2496 0.4606
O18 0.6997 0.8990 0.5499
O19 0.7422 0.5938 0.3871
O20 0.7584 0.1380 0.9722
O21 0.8319 0.6386 0.0338
O22 0.8879 0.0776 0.2315
O23 0.8990 0.5499 0.6997
O24 0.9722 0.7584 0.1380
```

Record 5
Structure and computed PXRD pattern of Li2Fe3SnO8 (a structure optimized by DFT (PBE+U); λ = 1.5418 Å (Cu Kα)).
No peak broadening, texture or thermal motion is included.

The 8 most intense peaks (10 to 90 degrees two-theta), low angle first:
2θ = 19.3°, intensity 100
2θ = 24.9°, intensity 31
2θ = 32.3°, intensity 42
2θ = 35.1°, intensity 56
2θ = 35.8°, intensity 34
2θ = 44.5°, intensity 31
2θ = 58.9°, intensity 32
2θ = 62.0°, intensity 27

```
data_Li2Fe3SnO8
_chemical_formula_sum 'Li4 Fe6 Sn2 O16'
_cell_length_a 5.9890
_cell_length_b 5.9890
_cell_length_c 9.8483
_cell_angle_alpha 90.00
_cell_angle_beta 90.00
_cell_angle_gamma 120.00
_space_group_name_H-M_alt 'P 1'
_space_group_IT_number 1
_space_group_name_Hall 'P 1'
loop_
_atom_site_label
_atom_site_fract_x
_atom_site_fract_y
_atom_site_fract_z
Li1 0.0000 0.0000 0.0000
Li2 0.0000 0.0000 0.5000
Li3 0.3333 0.6604 0.4042
Li4 0.6729 0.3333 0.9042
Fe1 0.1713 0.3426 0.7200
Fe2 0.1713 0.8287 0.7200
Fe3 0.3426 0.1713 0.2200
Fe4 0.6574 0.8287 0.7200
Fe5 0.8287 0.1713 0.2200
Fe6 0.8287 0.6574 0.2200
Sn1 0.3333 0.6667 0.9962
Sn2 0.6667 0.3333 0.4962
O1 0.0000 0.0000 0.3143
O2 0.0000 0.0000 0.8143
O3 0.0314 0.5157 0.8452
O4 0.1622 0.3243 0.1050
O5 0.1622 0.8378 0.1050
O6 0.3243 0.1622 0.6050
O7 0.3333 0.6667 0.6137
O8 0.4843 0.5157 0.8452
O9 0.4843 0.9686 0.8452
O10 0.5157 0.0314 0.3452
O11 0.5157 0.4843 0.3452
O12 0.6667 0.3333 0.1137
O13 0.6757 0.8378 0.1050
O14 0.8378 0.1622 0.6050
O15 0.8378 0.6757 0.6050
O16 0.9686 0.4843 0.3452
```

Record 6
Structure and computed PXRD pattern of Li3Mn4B4O12 (a structure optimized by DFT (PBE+U); λ = 1.5418 Å (Cu Kα)).
No peak broadening, texture or thermal motion is included.

The 8 most intense peaks (10 to 90 degrees two-theta), low angle first:
2θ = 19.4°, intensity 34
2θ = 19.5°, intensity 64
2θ = 21.5°, intensity 98
2θ = 25.7°, intensity 34
2θ = 26.4°, intensity 36
2θ = 33.9°, intensity 64
2θ = 34.1°, intensity 35
2θ = 34.6°, intensity 100

```
data_Li3Mn4B4O12
_chemical_formula_sum 'Li6 Mn8 B8 O24'
_cell_length_a 5.2816
_cell_length_b 9.1244
_cell_length_c 10.3739
_cell_angle_alpha 88.58
_cell_angle_beta 88.41
_cell_angle_gamma 89.61
_space_group_name_H-M_alt 'P 1'
_space_group_IT_number 1
_space_group_name_Hall 'P 1'
loop_
_atom_site_label
_atom_site_fract_x
_atom_site_fract_y
_atom_site_fract_z
Li1 0.0000 0.0000 0.0000
Li2 0.0353 0.9900 0.4868
Li3 0.3573 0.3266 0.7557
Li4 0.4901 0.4986 0.9847
Li5 0.5423 0.4831 0.4959
Li6 0.8572 0.8355 0.2602
Mn1 0.0107 0.6673 0.0242
Mn2 0.0389 0.3285 0.5261
Mn3 0.3633 0.9910 0.7810
Mn4 0.3661 0.6402 0.2697
Mn5 0.4982 0.1630 0.0315
Mn6 0.5132 0.8159 0.5241
Mn7 0.8445 0.1855 0.2769
Mn8 0.8540 0.5126 0.7712
B1 0.0036 0.3398 0.0294
B2 0.0181 0.6638 0.5221
B3 0.3397 0.6621 0.7711
B4 0.3659 0.9863 0.2873
B5 0.5202 0.8295 0.0389
B6 0.5320 0.1609 0.5269
B7 0.8569 0.1746 0.7898
B8 0.8717 0.4915 0.2859
O1 0.0266 0.3682 0.3146
O2 0.0958 0.6799 0.8191
O3 0.1075 0.9972 0.2936
O4 0.2594 0.3401 0.0154
O5 0.2787 0.6456 0.4932
O6 0.3722 0.9453 0.9931
O7 0.4008 0.0314 0.5573
O8 0.4036 0.6935 0.0655
O9 0.4240 0.2936 0.5535
O10 0.4600 0.7848 0.7109
O11 0.4662 0.5310 0.7862
O12 0.4949 0.8573 0.3318
O13 0.5160 0.0976 0.2346
O14 0.5960 0.1770 0.8215
O15 0.6187 0.4802 0.3091
O16 0.7742 0.8462 0.0611
O17 0.7813 0.1534 0.4721
O18 0.8541 0.4574 0.9881
O19 0.8785 0.2142 0.0849
O20 0.8834 0.5394 0.5620
O21 0.9003 0.7969 0.5091
O22 0.9708 0.2987 0.7310
O23 0.9840 0.6204 0.2385
O24 0.9992 0.0548 0.8189
```